Starting from a cell relaxed with PBE+U, the X-ray powder pattern of Li4V5Co3O16 was computed for Cu Kα X-rays.
Intensities are scaled so that the largest is 1000.

Principal peaks in the range 2θ from 5° to 70°, by angle:
| 2θ (°) | d_spacing | intensity |
| --- | --- | --- |
| 18.53 | 4.788 | 1000 |
| 19.54 | 4.542 | 880 |
| 19.70 | 4.507 | 566 |
| 25.32 | 3.518 | 369 |
| 36.17 | 2.484 | 430 |
| 36.33 | 2.473 | 378 |
| 45.15 | 2.008 | 410 |
| 62.83 | 1.479 | 409 |

Atomic structure:
Cell: 5.917 5.917 9.578 Å, 90.84 90.84 60.14°
Fractional positions:
Li 0.000 0.000 0.000
Li 0.000 0.000 0.494
Li 0.339 0.339 0.908
Li 0.667 0.667 0.407
V 0.179 0.179 0.236
V 0.354 0.354 0.494
V 0.354 0.842 0.726
V 0.663 0.663 0.008
V 0.842 0.354 0.726
Co 0.165 0.656 0.217
Co 0.656 0.165 0.217
Co 0.831 0.831 0.714
O 0.006 0.006 0.809
O 0.009 0.009 0.302
O 0.040 0.467 0.361
O 0.169 0.169 0.609
O 0.181 0.654 0.596
O 0.317 0.317 0.111
O 0.355 0.824 0.094
O 0.467 0.040 0.361
O 0.478 0.478 0.362
O 0.509 0.961 0.851
O 0.524 0.524 0.846
O 0.654 0.181 0.596
O 0.654 0.654 0.610
O 0.824 0.355 0.094
O 0.824 0.824 0.086
O 0.961 0.509 0.851